[1]
For PmU6Se8, a DFT-relaxed cell (PBE, Alexandria) gives the calculated powder diffraction line list in this record (CuKα).

Peak list (8 most intense, 15 to 90 degrees two-theta, in order of rising 2θ)
2θ/deg	I/Imax
26.9	31
31.2	100
44.7	75
52.9	17
55.5	26
65.0	12
73.9	35
82.3	26

Cell and atoms:
```
data_PmU6Se8
_cell_length_a 8.1133
_cell_length_b 8.1133
_cell_length_c 8.1133
_cell_angle_alpha 60.00
_cell_angle_beta 60.00
_cell_angle_gamma 60.00
_symmetry_space_group_name_H-M 'P 1'
_symmetry_Int_Tables_number 1
loop_
_symmetry_equiv_pos_as_xyz
'x,y,z'
loop_
_atom_site_label
_atom_site_fract_x
_atom_site_fract_y
_atom_site_fract_z
Pm1 0.0000 0.0000 0.0000
U1 0.0000 0.0000 0.5000
U2 0.0000 0.5000 0.0000
U3 0.0000 0.5000 0.5000
U4 0.5000 0.0000 0.0000
U5 0.5000 0.0000 0.5000
U6 0.5000 0.5000 0.0000
Se1 0.2500 0.2500 0.2500
Se2 0.2603 0.2603 0.7397
Se3 0.2603 0.7397 0.2603
Se4 0.2603 0.7397 0.7397
Se5 0.7397 0.2603 0.2603
Se6 0.7397 0.2603 0.7397
Se7 0.7397 0.7397 0.2603
Se8 0.7500 0.7500 0.7500
```

---

[2]
For HoFe22B6, a DFT-relaxed cell (PBE, Alexandria) gives the calculated powder diffraction line list in this record (CuKα).

Peak list (8 most intense, 15 to 90 degrees two-theta, in order of rising 2θ)
2θ/deg	I/Imax
27.7	14
41.4	35
44.0	100
48.1	26
51.3	14
75.4	23
77.3	15
89.9	14

Cell and atoms:
```
data_HoFe22B6
_cell_length_a 7.5611
_cell_length_b 7.5611
_cell_length_c 7.5611
_cell_angle_alpha 60.00
_cell_angle_beta 60.00
_cell_angle_gamma 60.00
_symmetry_space_group_name_H-M 'P 1'
_symmetry_Int_Tables_number 1
loop_
_symmetry_equiv_pos_as_xyz
'x,y,z'
loop_
_atom_site_label
_atom_site_fract_x
_atom_site_fract_y
_atom_site_fract_z
Ho1 0.0000 0.0000 0.0000
Fe1 0.0000 0.0000 0.3510
Fe2 0.0000 0.0000 0.6490
Fe3 0.0000 0.3510 0.0000
Fe4 0.0000 0.3510 0.6490
Fe5 0.0000 0.6490 0.0000
Fe6 0.0000 0.6490 0.3510
Fe7 0.1457 0.6181 0.6181
Fe8 0.2500 0.2500 0.2500
Fe9 0.3510 0.0000 0.0000
Fe10 0.3510 0.0000 0.6490
Fe11 0.3510 0.6490 0.0000
Fe12 0.3819 0.3819 0.3819
Fe13 0.3819 0.3819 0.8543
Fe14 0.3819 0.8543 0.3819
Fe15 0.6181 0.1457 0.6181
Fe16 0.6181 0.6181 0.1457
Fe17 0.6181 0.6181 0.6181
Fe18 0.6490 0.0000 0.0000
Fe19 0.6490 0.0000 0.3510
Fe20 0.6490 0.3510 0.0000
Fe21 0.7500 0.7500 0.7500
Fe22 0.8543 0.3819 0.3819
B1 0.2729 0.2729 0.7271
B2 0.2729 0.7271 0.2729
B3 0.2729 0.7271 0.7271
B4 0.7271 0.2729 0.2729
B5 0.7271 0.2729 0.7271
B6 0.7271 0.7271 0.2729
```